Diffraction record for MgFeP2O7. The X-ray diffraction stick pattern is simulated, not measured: it uses a DFT-relaxed cell (GGA+U, the Materials Project) and Cu Kα.
Lines closer than 0.1° are merged.

Crystal structure
a b c (Å): 5.3766 5.3766 4.9648
angles (deg): 95.14 95.14 101.23
Atoms (fractional coordinates):
Mg  0.0000  0.0000  0.0000
Fe  0.3939  0.6061  0.0000
P  0.2546  0.1660  0.4362
P  0.8340  0.7454  0.5638
O  0.0590  0.6798  0.7382
O  0.1801  0.3421  0.2215
O  0.3202  0.9410  0.2618
O  0.4039  0.2787  0.7027
O  0.6579  0.8199  0.7785
O  0.7213  0.5961  0.2973
O  0.9560  0.0440  0.5000

Most intense lines, 2θ = 15–90°, by angle:
Position (°2θ)  Rel. int.
16.91  59
21.38  100
26.18  60
28.12  56
29.91  89
34.22  26
37.06  18
40.56  31
47.89  20
52.98  20